Theoretical X-ray diffraction stick pattern of BaNiO for Cu Kα X-rays, from DFT lattice parameters and positions (PBE+U).

Cell and atoms:
```
BaNiO
1.0
2.6526 -6.4009 0.0000
2.6526 6.4009 0.0000
0.0000 0.0000 3.5277
Ba Ni O
2 2 2
direct
0.1563 0.8437 0.5000
0.8437 0.1563 0.0000
0.4168 0.5832 0.5019
0.5832 0.4168 0.0019
0.3030 0.6970 0.0000
0.6970 0.3030 0.5000
```

Largest 12 diffraction maxima, in order of falling intensity, 2θ = 15–90°:
Position (°2θ), I/Imax
31.24, 100
26.81, 61
33.79, 59
37.96, 51
51.72, 40
37.16, 39
27.88, 31
28.90, 22
52.96, 21
47.08, 18
63.32, 18
44.35, 18